This entry pairs a crystal structure of K2VO2F3 with its computed PXRD pattern. Radiation: Cu Kα (weighted mean of Kα1 and Kα2). Structure: a structure optimized by DFT (GGA+U).

Cell: 7.5053 5.7629 11.5715 Å, 90.00 90.00 90.00°
Space group Pnma (No. 62)
Inequivalent atoms, fractional coordinates:
K  0.0256  0.2500  0.2166 (multiplicity 4)
K  0.1840  0.7500  0.4126 (multiplicity 4)
V  0.1995  0.7500  0.0698 (multiplicity 4)
O  0.1787  0.0226  0.6117 (multiplicity 8)
F  0.0000  0.0000  0.0000 (multiplicity 4)
F  0.0344  0.7500  0.1937 (multiplicity 4)
F  0.2305  0.2500  0.4092 (multiplicity 4)

Largest 6 diffraction maxima, low angle first, 15° ≤ 2θ ≤ 90°:
2θ = 20.9°, I = 45, (1 1 1)
2θ = 27.8°, I = 100, (0 1 3)
2θ = 28.4°, I = 86, (2 0 2)
2θ = 31.0°, I = 56, (0 2 0)
2θ = 40.8°, I = 57, (1 0 5)
2θ = 42.5°, I = 76, (2 2 2)